Entry 1:
Starting from a GGA-PBE-relaxed structure, the X-ray powder pattern of Y4Rh6O19 was computed for copper Kα.
Lines closer than 0.1° are merged.

Structural model:
Unit cell a=8.7616 b=8.7616 c=8.7616 alpha=90.00 beta=90.00 gamma=90.00
Space group I23 (No. 197)
One atom of each set of equivalent atoms:
Y: 0.1589 0.1589 0.8411 [8 per cell]
Rh: 0.0000 0.3345 0.5000 [12 per cell]
O: 0.0000 0.0000 0.0000 [2 per cell]
O: 0.0000 0.0000 0.3422 [12 per cell]
O: 0.0459 0.3084 0.2809 [24 per cell]

Principal peaks in the range 2θ from 15° to 90°, most intense first:
d_spacing  2θ (°)  I/Imax  (hkl)
2.771  32.3  100  3 1 0
2.342  38.4  72  3 2 1
3.577  24.9  48  2 1 1
1.718  53.3  44  4 1 3
1.460  63.7  33  6 0 0
2.065  43.8  26  3 3 0
1.788  51.1  26  4 2 2
1.292  73.3  18  6 3 1
1.421  65.7  16  5 3 2
2.529  35.5  15  2 2 2

Entry 2:
Starting from a GGA-PBE-relaxed structure, the X-ray powder pattern of Y3RhO6 was computed for copper Kα.
Lines closer than 0.1° are merged.

Structural model:
Unit cell a=9.5431 b=9.5431 c=10.7175 alpha=90.00 beta=90.00 gamma=120.00
Space group R-3 (No. 148, hexagonal axes)
One atom of each set of equivalent atoms:
Y: 0.0437 0.2663 0.1991 [18 per cell]
Rh: 0.0000 0.0000 0.0000 [3 per cell]
Rh: 0.0000 0.0000 0.5000 [3 per cell]
O: 0.0291 0.1883 0.8836 [18 per cell]
O: 0.0292 0.2079 0.4030 [18 per cell]

Principal peaks in the range 2θ from 15° to 90°, most intense first:
d_spacing  2θ (°)  I/Imax  (hkl)
2.999  29.8  100  2 1 1
2.699  33.2  82  3 -2 2
2.034  44.6  57  2 1 4
1.803  50.6  47  1 4 0
3.573  24.9  46  0 0 3
3.272  27.3  39  2 0 2
2.860  31.3  30  1 1 3
1.499  61.9  28  4 2 2
2.107  42.9  28  3 1 2
1.546  59.8  18  6 -4 1

Entry 3:
Starting from a GGA-PBE-relaxed structure, the X-ray powder pattern of YRh3O6 was computed for copper Kα.
Lines closer than 0.1° are merged.

Structural model:
Unit cell a=7.2068 b=10.1432 c=3.2992 alpha=90.00 beta=90.00 gamma=90.00
Space group Cmmm (No. 65)
One atom of each set of equivalent atoms:
Y: 0.0000 0.0000 0.0000 [2 per cell]
Rh: 0.0000 0.5000 0.0000 [2 per cell]
Rh: 0.2500 0.2500 0.5000 [4 per cell]
O: 0.0000 0.1540 0.5000 [4 per cell]
O: 0.2024 0.3687 0.0000 [8 per cell]

Principal peaks in the range 2θ from 15° to 90°, most intense first:
d_spacing  2θ (°)  I/Imax  (hkl)
2.937  30.4  100  2 2 0
2.766  32.4  91  0 2 1
1.756  52.1  61  2 4 1
2.433  36.9  38  2 0 1
1.510  61.4  28  4 2 1
1.438  64.8  22  2 2 2
2.536  35.4  21  0 4 0
1.802  50.7  15  4 0 0
1.530  60.5  15  2 6 0
1.650  55.7  13  0 0 2

Entry 4:
Starting from a GGA-PBE-relaxed structure, the X-ray powder pattern of Zn6RhO6 was computed for copper Kα.
Lines closer than 0.1° are merged.

Structural model:
Unit cell a=5.6929 b=5.6929 c=5.6929 alpha=90.00 beta=90.00 gamma=90.00
Space group Pm-3 (No. 200)
One atom of each set of equivalent atoms:
Zn: 0.0000 0.2477 0.5000 [6 per cell]
Rh: 0.0000 0.0000 0.0000 [1 per cell]
O: 0.0000 0.5000 0.2525 [6 per cell]

Principal peaks in the range 2θ from 15° to 90°, most intense first:
d_spacing  2θ (°)  I/Imax  (hkl)
2.324  38.7  100  2 1 1
2.546  35.3  99  2 1 0
1.521  60.9  49  3 1 2
2.846  31.4  45  2 0 0
5.693  15.6  36  1 0 0
1.423  65.6  23  4 0 0
1.579  58.5  23  3 0 2
1.643  56.0  23  2 2 2
1.242  76.7  21  4 2 1
4.025  22.1  15  1 1 0

Entry 5:
Starting from a GGA-PBE-relaxed structure, the X-ray powder pattern of RuSO4 was computed for copper Kα.
Lines closer than 0.1° are merged.

Structural model:
Unit cell a=5.6272 b=5.6359 c=7.7113 alpha=90.00 beta=90.00 gamma=90.00
Space group P222 (No. 16)
One atom of each set of equivalent atoms:
Ru: 0.0000 0.0000 0.0000 [1 per cell]
Ru: 0.0000 0.5000 0.5000 [1 per cell]
S: 0.0000 0.0000 0.5000 [1 per cell]
S: 0.5000 0.0000 0.0000 [1 per cell]
O: 0.1470 0.1643 0.3900 [4 per cell]
O: 0.3358 0.1515 0.8934 [4 per cell]

Principal peaks in the range 2θ from 15° to 90°, most intense first:
d_spacing  2θ (°)  I/Imax  (hkl)
4.549  19.5  100  0 1 1
5.630  15.7  91  1 0 0
3.856  23.1  50  0 0 2
2.274  39.6  34  2 0 2
3.181  28.1  32  1 0 2
2.393  37.6  27  2 1 1
2.816  31.8  23  2 0 0
2.109  42.9  22  1 2 2
3.538  25.2  18  1 1 1
1.769  51.7  17  2 2 2

Entry 6:
Starting from a GGA-PBE-relaxed structure, the X-ray powder pattern of SrRuS2O8 was computed for copper Kα.
Lines closer than 0.1° are merged.

Structural model:
Unit cell a=4.8425 b=4.8425 c=21.9118 alpha=90.00 beta=90.00 gamma=120.00
Space group R-3 (No. 148, hexagonal axes)
One atom of each set of equivalent atoms:
Sr: 0.0000 0.0000 0.0000 [3 per cell]
Ru: 0.0000 0.0000 0.5000 [3 per cell]
S: 0.0000 0.0000 0.2464 [6 per cell]
O: 0.0000 0.0000 0.3148 [6 per cell]
O: 0.0060 0.2983 0.2264 [18 per cell]

Principal peaks in the range 2θ from 15° to 90°, most intense first:
d_spacing  2θ (°)  I/Imax  (hkl)
3.330  26.8  100  1 0 4
2.421  37.1  33  1 1 0
2.294  39.3  31  0 1 8
2.018  44.9  23  2 -1 6
1.458  63.8  16  1 1 12
1.958  46.4  16  0 2 4
1.523  60.8  15  2 1 4
3.917  22.7  14  0 1 2
1.398  66.9  11  3 0 0
1.372  68.4  9  1 2 8

Entry 7:
Starting from a GGA-PBE-relaxed structure, the X-ray powder pattern of SbRu2O6 was computed for copper Kα.
Lines closer than 0.1° are merged.

Structural model:
Unit cell a=8.8509 b=8.8509 c=4.7870 alpha=90.00 beta=90.00 gamma=120.00
Space group P-3m1 (No. 164)
One atom of each set of equivalent atoms:
Sb: 0.0000 0.0000 0.0000 [1 per cell]
Sb: 0.3333 0.6667 0.4804 [2 per cell]
Ru: 0.0000 0.3571 0.0000 [6 per cell]
O: 0.0987 0.5494 0.7202 [6 per cell]
O: 0.1187 0.2373 0.8012 [6 per cell]
O: 0.2248 0.4497 0.2288 [6 per cell]

Principal peaks in the range 2θ from 15° to 90°, most intense first:
d_spacing  2θ (°)  I/Imax  (hkl)
3.250  27.4  100  1 1 1
1.747  52.4  99  3 0 2
2.555  35.1  91  3 0 0
4.787  18.5  69  0 0 1
2.254  40.0  52  3 0 1
2.992  29.9  49  2 0 1
4.060  21.9  45  0 1 1
1.475  63.0  39  3 3 0
2.479  36.2  34  1 2 1
1.651  55.7  30  2 3 1

Entry 8:
Starting from a GGA-PBE-relaxed structure, the X-ray powder pattern of Sc5Ru2O12 was computed for copper Kα.
Lines closer than 0.1° are merged.

Structural model:
Unit cell a=11.7416 b=5.4818 c=7.1255 alpha=90.00 beta=107.38 gamma=90.00
Space group C2/m (No. 12)
One atom of each set of equivalent atoms:
Sc: 0.0000 0.0000 0.0000 [2 per cell]
Sc: 0.1871 0.5000 0.3096 [4 per cell]
Sc: 0.2036 0.5000 0.8610 [4 per cell]
Ru: 0.0000 0.2227 0.5000 [4 per cell]
O: 0.0034 0.5000 0.3134 [4 per cell]
O: 0.0126 0.0000 0.2934 [4 per cell]
O: 0.1498 0.2521 0.0637 [8 per cell]
O: 0.1740 0.2532 0.6048 [8 per cell]

Principal peaks in the range 2θ from 15° to 90°, most intense first:
d_spacing  2θ (°)  I/Imax  (hkl)
2.133  42.4  100  0 2 2
3.394  26.3  80  2 0 -2
5.144  17.2  78  2 0 -1
3.087  28.9  77  3 1 0
2.987  29.9  76  1 1 -2
3.802  23.4  56  2 0 1
2.542  35.3  44  0 2 1
1.787  51.1  42  4 2 1
5.603  15.8  42  2 0 0
2.801  31.9  40  4 0 0